Entry 1:
Mg2CdIn2: theoretical X-ray diffraction stick pattern (a wavelength of 1.5418 Å), based on the GGA-PBE geometry in Alexandria.
Peak positions follow from Bragg's law for the DFT cell and can differ from measured ones.

Cell and atoms:
```
data_Mg2CdIn2
_cell_length_a 4.9410
_cell_length_b 4.9410
_cell_length_c 11.5557
_cell_angle_alpha 90.00
_cell_angle_beta 90.00
_cell_angle_gamma 120.00
_space_group_name_H-M_alt 'P 63/m m c'
_space_group_IT_number 194
_space_group_name_Hall '-P 6c 2c'
loop_
_atom_site_label
_atom_site_type_symbol
_atom_site_fract_x
_atom_site_fract_y
_atom_site_fract_z
Mg1 Mg 0.0000 0.0000 0.0000
Mg2 Mg 0.3333 0.6667 0.2500
Cd1 Cd 0.0000 0.0000 0.2500
In1 In 0.3333 0.6667 0.5998
```

The 10 most intense peaks (10° ≤ 2θ ≤ 90°), in order of rising 2θ:
2θ = 22.15°, rel. 41, (1 0 1); 2θ = 25.91°, rel. 38, (1 0 2); 2θ = 31.24°, rel. 87, (1 0 3); 2θ = 36.37°, rel. 100, (1 1 0); 2θ = 37.57°, rel. 56, (1 0 4); 2θ = 48.68°, rel. 25, (2 0 3); 2θ = 53.28°, rel. 20, (2 0 4); 2θ = 61.00°, rel. 24, (1 1 6); 2θ = 62.26°, rel. 23, (2 1 3); 2θ = 66.22°, rel. 20, (2 1 4)

Entry 2:
Dy8Tm5Pu: theoretical X-ray diffraction stick pattern (a wavelength of 1.5418 Å), based on the GGA-PBE geometry in Alexandria.
Peak positions follow from Bragg's law for the DFT cell and can differ from measured ones.

Cell and atoms:
```
data_Dy8Tm5Pu
_cell_length_a 9.8642
_cell_length_b 9.8642
_cell_length_c 9.0743
_cell_angle_alpha 90.00
_cell_angle_beta 90.00
_cell_angle_gamma 90.00
_space_group_name_H-M_alt 'I -4'
_space_group_IT_number 82
loop_
_space_group_symop_operation_xyz
'x,y,z'
'y,-x,-z'
'-x,-y,z'
'-y,x,-z'
'x+1/2,y+1/2,z+1/2'
'y+1/2,-x+1/2,-z+1/2'
'-x+1/2,-y+1/2,z+1/2'
'-y+1/2,x+1/2,-z+1/2'
loop_
_atom_site_label
_atom_site_type_symbol
_atom_site_fract_x
_atom_site_fract_y
_atom_site_fract_z
Dy1 Dy 0.0352 0.3394 0.4409
Dy2 Dy 0.1511 0.2449 0.7921
Tm1 Tm 0.0000 0.0000 0.5000
Tm2 Tm 0.0780 0.1576 0.1280
Pu1 Pu 0.0000 0.5000 0.7500
```

The 10 most intense peaks (10° ≤ 2θ ≤ 90°), in order of rising 2θ:
2θ = 28.62°, rel. 57, (3 1 0); 2θ = 28.88°, rel. 95, (3 0 1); 2θ = 30.92°, rel. 96, (1 0 3); 2θ = 32.38°, rel. 41, (2 2 2); 2θ = 34.23°, rel. 100, (3 2 1); 2θ = 34.91°, rel. 87, (1 3 2); 2θ = 36.00°, rel. 41, (2 1 3); 2θ = 38.93°, rel. 39, (1 4 1); 2θ = 51.34°, rel. 23, (1 5 2); 2θ = 55.00°, rel. 22, (4 0 4)

Entry 3:
Sc3TlAs4O12: theoretical X-ray diffraction stick pattern (a wavelength of 1.5418 Å), based on the GGA-PBE geometry in Alexandria.
Peak positions follow from Bragg's law for the DFT cell and can differ from measured ones.

Cell and atoms:
```
data_Sc3TlAs4O12
_cell_length_a 11.0345
_cell_length_b 11.0345
_cell_length_c 8.5134
_cell_angle_alpha 90.00
_cell_angle_beta 90.00
_cell_angle_gamma 120.00
_space_group_name_H-M_alt 'R 3 2'
_space_group_IT_number 155
_space_group_name_Hall 'R 3 2"'
loop_
_atom_site_label
_atom_site_type_symbol
_atom_site_fract_x
_atom_site_fract_y
_atom_site_fract_z
Sc1 Sc 0.0000 0.5731 0.0000
Tl1 Tl 0.0000 0.0000 0.0000
As1 As 0.0000 0.0000 0.5000
As2 As 0.0000 0.4144 0.5000
O1 O 0.0000 0.5738 0.5000
O2 O 0.0000 0.8219 0.5000
O3 O 0.0446 0.2047 0.2307
```

The 10 most intense peaks (10° ≤ 2θ ≤ 90°), in order of rising 2θ:
2θ = 13.93°, rel. 16, (1 0 1); 2θ = 26.81°, rel. 24, (2 1 1); 2θ = 28.06°, rel. 100, (2 0 2); 2θ = 32.49°, rel. 37, (2 2 0); 2θ = 35.47°, rel. 22, (1 3 1); 2θ = 35.58°, rel. 16, (1 1 3); 2θ = 46.60°, rel. 22, (2 3 2); 2θ = 46.72°, rel. 16, (0 2 4); 2θ = 52.48°, rel. 15, (5 0 2); 2θ = 60.50°, rel. 17, (5 2 0)

Entry 4:
GeTeAu: theoretical X-ray diffraction stick pattern (a wavelength of 1.5418 Å), based on the GGA-PBE geometry in Alexandria.
Peak positions follow from Bragg's law for the DFT cell and can differ from measured ones.

Cell and atoms:
```
data_GeTeAu
_cell_length_a 4.5511
_cell_length_b 5.6389
_cell_length_c 6.8854
_cell_angle_alpha 102.94
_cell_angle_beta 94.01
_cell_angle_gamma 98.34
_space_group_name_H-M_alt 'P 1'
_space_group_IT_number 1
loop_
_space_group_symop_operation_xyz
'x,y,z'
loop_
_atom_site_label
_atom_site_type_symbol
_atom_site_fract_x
_atom_site_fract_y
_atom_site_fract_z
Ge1 Ge 0.0000 0.0000 0.0000
Ge2 Ge 0.3768 0.7401 0.8454
Te1 Te 0.1558 0.4510 0.2560
Te2 Te 0.7244 0.0334 0.6407
Au1 Au 0.3015 0.3210 0.6070
Au2 Au 0.6833 0.6906 0.1507
```

The 10 most intense peaks (10° ≤ 2θ ≤ 90°), in order of rising 2θ:
2θ = 23.47°, rel. 100, (0 1 1); 2θ = 23.59°, rel. 70, (1 -1 0); 2θ = 26.72°, rel. 44, (0 0 2); 2θ = 27.87°, rel. 34, (0 1 -2); 2θ = 28.19°, rel. 65, (1 1 -1); 2θ = 34.52°, rel. 40, (1 -1 2); 2θ = 40.35°, rel. 55, (-1 2 1); 2θ = 41.71°, rel. 30, (1 2 0); 2θ = 43.39°, rel. 26, (2 -1 1); 2θ = 51.51°, rel. 28, (0 3 -2)

Entry 5:
PrErGa2Au5: theoretical X-ray diffraction stick pattern (a wavelength of 1.5418 Å), based on the GGA-PBE geometry in Alexandria.
Peak positions follow from Bragg's law for the DFT cell and can differ from measured ones.

Cell and atoms:
```
data_PrErGa2Au5
_cell_length_a 4.7539
_cell_length_b 4.7539
_cell_length_c 8.4653
_cell_angle_alpha 90.00
_cell_angle_beta 90.00
_cell_angle_gamma 90.00
_space_group_name_H-M_alt 'P 4/m m m'
_space_group_IT_number 123
_space_group_name_Hall '-P 4 2'
loop_
_atom_site_label
_atom_site_type_symbol
_atom_site_fract_x
_atom_site_fract_y
_atom_site_fract_z
Pr1 Pr 0.0000 0.0000 0.0000
Er1 Er 0.0000 0.0000 0.5000
Ga1 Ga 0.5000 0.5000 0.3541
Au1 Au 0.0000 0.5000 0.2434
Au2 Au 0.5000 0.5000 0.0000
```

The 10 most intense peaks (10° ≤ 2θ ≤ 90°), in order of rising 2θ:
2θ = 34.06°, rel. 100, (1 1 2); 2θ = 37.05°, rel. 6, (1 0 3); 2θ = 37.85°, rel. 50, (2 0 0); 2θ = 41.80°, rel. 6, (1 1 3); 2θ = 42.73°, rel. 11, (0 0 4); 2θ = 54.60°, rel. 17, (2 2 0); 2θ = 58.38°, rel. 19, (2 0 4); 2θ = 65.94°, rel. 30, (3 1 2); 2θ = 71.71°, rel. 10, (2 2 4); 2θ = 72.68°, rel. 14, (1 1 6)

Entry 6:
Rb2NaCd16: theoretical X-ray diffraction stick pattern (a wavelength of 1.5418 Å), based on the GGA-PBE geometry in Alexandria.
Peak positions follow from Bragg's law for the DFT cell and can differ from measured ones.

Cell and atoms:
```
data_Rb2NaCd16
_cell_length_a 10.5998
_cell_length_b 10.5998
_cell_length_c 15.3449
_cell_angle_alpha 90.00
_cell_angle_beta 90.00
_cell_angle_gamma 120.00
_space_group_name_H-M_alt 'R 3 m'
_space_group_IT_number 160
_space_group_name_Hall 'R 3 -2"'
loop_
_atom_site_label
_atom_site_type_symbol
_atom_site_fract_x
_atom_site_fract_y
_atom_site_fract_z
Rb1 Rb 0.0000 0.0000 0.0000
Rb2 Rb 0.0000 0.0000 0.3131
Na1 Na 0.0000 0.0000 0.5599
Cd1 Cd 0.0000 0.0000 0.7660
Cd2 Cd 0.0034 0.5017 0.8042
Cd3 Cd 0.0398 0.3726 0.3206
Cd4 Cd 0.1691 0.3381 0.4879
Cd5 Cd 0.1694 0.3388 0.8380
```

The 10 most intense peaks (10° ≤ 2θ ≤ 90°), in order of rising 2θ:
2θ = 16.73°, rel. 35, (1 1 0); 2θ = 29.19°, rel. 21, (3 0 0); 2θ = 30.37°, rel. 26, (0 2 4); 2θ = 33.83°, rel. 56, (2 2 0); 2θ = 34.15°, rel. 100, (0 3 3); 2θ = 35.12°, rel. 63, (0 0 6); 2θ = 38.25°, rel. 99, (2 2 3); 2θ = 39.11°, rel. 21, (1 1 6); 2θ = 60.51°, rel. 23, (6 0 0); 2θ = 62.34°, rel. 19, (0 3 9)

Entry 7:
Tl2CuIrCl6: theoretical X-ray diffraction stick pattern (a wavelength of 1.5418 Å), based on the GGA-PBE geometry in Alexandria.
Peak positions follow from Bragg's law for the DFT cell and can differ from measured ones.

Cell and atoms:
```
data_Tl2CuIrCl6
_cell_length_a 6.9641
_cell_length_b 9.7831
_cell_length_c 6.9687
_cell_angle_alpha 90.00
_cell_angle_beta 90.00
_cell_angle_gamma 90.00
_space_group_name_H-M_alt 'P m m n'
_space_group_IT_number 59
loop_
_space_group_symop_operation_xyz
'x,y,z'
'-x,-y,-z'
'-x+1/2,-y+1/2,z'
'x+1/2,y+1/2,-z'
'x+1/2,-y,-z'
'-x+1/2,y,z'
'-x,y+1/2,-z'
'x,-y+1/2,z'
loop_
_atom_site_label
_atom_site_type_symbol
_atom_site_fract_x
_atom_site_fract_y
_atom_site_fract_z
Tl1 Tl 0.2500 0.0000 0.2495
Cu1 Cu 0.2500 0.2500 0.7495
Ir1 Ir 0.2500 0.7500 0.7502
Cl1 Cl 0.0069 0.7500 0.5072
Cl2 Cl 0.0071 0.7500 0.9933
Cl3 Cl 0.2500 0.5052 0.7506
```

The 10 most intense peaks (10° ≤ 2θ ≤ 90°), in order of rising 2θ:
2θ = 15.62°, rel. 15, (1 1 0); 2θ = 25.57°, rel. 50, (2 0 0); 2θ = 25.67°, rel. 100, (1 2 1); 2θ = 31.53°, rel. 22, (2 2 0); 2θ = 36.48°, rel. 45, (2 0 2); 2θ = 36.75°, rel. 22, (0 4 0); 2θ = 45.14°, rel. 46, (3 2 1); 2θ = 45.31°, rel. 23, (2 4 0); 2θ = 52.75°, rel. 30, (2 4 2); 2θ = 59.35°, rel. 21, (4 0 2)

Entry 8:
SrAgPbI5: theoretical X-ray diffraction stick pattern (a wavelength of 1.5418 Å), based on the GGA-PBE geometry in Alexandria.
Peak positions follow from Bragg's law for the DFT cell and can differ from measured ones.

Cell and atoms:
```
data_SrAgPbI5
_cell_length_a 10.4036
_cell_length_b 13.4751
_cell_length_c 11.6379
_cell_angle_alpha 90.00
_cell_angle_beta 114.47
_cell_angle_gamma 90.00
_space_group_name_H-M_alt 'C 1 2/c 1'
_space_group_IT_number 15
loop_
_space_group_symop_operation_xyz
'x,y,z'
'-x,-y,-z'
'-x,y,-z+1/2'
'x,-y,z+1/2'
'x+1/2,y+1/2,z'
'-x+1/2,-y+1/2,-z'
'-x+1/2,y+1/2,-z+1/2'
'x+1/2,-y+1/2,z+1/2'
loop_
_atom_site_label
_atom_site_type_symbol
_atom_site_fract_x
_atom_site_fract_y
_atom_site_fract_z
Sr1 Sr 0.2500 0.2500 0.0000
Ag1 Ag 0.0000 0.0721 0.2500
Pb1 Pb 0.0000 0.3859 0.2500
I1 I 0.0000 0.3635 0.7500
I2 I 0.0399 0.2113 0.4481
I3 I 0.2339 0.0608 0.8194
```

The 10 most intense peaks (10° ≤ 2θ ≤ 90°), in order of rising 2θ:
2θ = 16.30°, rel. 44, (1 1 1); 2θ = 21.34°, rel. 100, (0 2 2); 2θ = 23.34°, rel. 47, (1 1 2); 2θ = 25.16°, rel. 58, (1 3 -2); 2θ = 26.75°, rel. 56, (3 1 -1); 2θ = 31.47°, rel. 51, (0 4 2); 2θ = 35.43°, rel. 66, (3 3 -3); 2θ = 36.58°, rel. 58, (1 3 3); 2θ = 38.01°, rel. 42, (4 0 0); 2θ = 43.94°, rel. 42, (3 3 2)